Record 1
Tl3Ir: theoretical powder XRD pattern (Cu Kα), based on a structure optimized by DFT (GGA-PBE).

Atomic structure:
Cell: 9.6593 9.6593 3.5374 Å, 90.00 90.00 120.00°
Space group R-3m (No. 166, hexagonal axes)
Asymmetric unit:
Tl1 0.0000 0.5000 0.0000 x9
Ir1 0.0000 0.0000 0.0000 x3

Largest 10 diffraction maxima, low angle first, 2θ from 15° to 90°:
| index | d_spacing | 2θ/deg | I/Imax |
| --- | --- | --- | --- |
| 0 2 1 | 2.701 | 33.17 | 100 |
| 2 2 0 | 2.415 | 37.23 | 74 |
| 4 0 1 | 1.800 | 50.71 | 31 |
| 2 0 2 | 1.629 | 56.49 | 22 |
| 2 4 1 | 1.443 | 64.57 | 30 |
| 6 0 0 | 1.394 | 67.14 | 13 |
| 0 4 2 | 1.350 | 69.62 | 12 |
| 4 4 0 | 1.207 | 79.36 | 9 |
| 4 2 2 | 1.179 | 81.69 | 19 |
| 6 2 1 | 1.102 | 88.75 | 13 |

Record 2
Na2Au3S3: theoretical powder XRD pattern (Cu Kα), based on a structure optimized by DFT (GGA-PBE).

Atomic structure:
Cell: 5.400 5.814 7.562 Å, 86.65 79.08 77.64°
Space group P1 (No. 1)
Asymmetric unit:
Na1 0.000 0.000 0.000 x1
Na2 0.467 0.583 0.591 x1
Au1 0.482 0.120 0.331 x1
Au2 0.696 0.579 0.048 x1
Au3 0.897 0.875 0.599 x1
S1 0.189 0.886 0.334 x1
S2 0.566 0.875 0.844 x1
S3 0.789 0.346 0.293 x1

Largest 10 diffraction maxima, low angle first, 2θ from 15° to 90°:
| index | d_spacing | 2θ/deg | I/Imax |
| --- | --- | --- | --- |
| 1 0 0 | 5.187 | 17.09 | 52 |
| 1 0 1 | 4.668 | 19.01 | 50 |
| 0 1 1 | 4.551 | 19.51 | 100 |
| 1 1 1 | 4.017 | 22.13 | 27 |
| 1 1 -1 | 3.482 | 25.58 | 77 |
| 0 1 -2 | 3.081 | 28.98 | 30 |
| 1 2 0 | 2.741 | 32.67 | 28 |
| 1 -1 2 | 2.694 | 33.25 | 36 |
| 1 2 1 | 2.671 | 33.55 | 30 |
| -1 1 2 | 2.411 | 37.29 | 26 |

Record 3
RbMn: theoretical powder XRD pattern (Cu Kα), based on a structure optimized by DFT (GGA-PBE).

Atomic structure:
Cell: 6.472 26.269 4.433 Å, 90.00 90.00 90.00°
Space group Cmcm (No. 63)
Asymmetric unit:
Rb1 0.000 0.070 0.250 x4
Rb2 0.000 0.308 0.750 x4
Mn1 0.000 0.425 0.250 x4
Mn2 0.000 0.480 0.750 x4

Largest 10 diffraction maxima, low angle first, 2θ from 15° to 90°:
| index | d_spacing | 2θ/deg | I/Imax |
| --- | --- | --- | --- |
| 0 2 1 | 4.200 | 21.15 | 29 |
| 1 5 0 | 4.079 | 21.79 | 62 |
| 1 3 1 | 3.375 | 26.41 | 100 |
| 0 8 0 | 3.284 | 27.16 | 30 |
| 2 0 0 | 3.236 | 27.56 | 73 |
| 0 6 1 | 3.115 | 28.66 | 30 |
| 1 5 1 | 3.002 | 29.77 | 28 |
| 1 7 1 | 2.619 | 34.24 | 27 |
| 2 6 1 | 2.244 | 40.20 | 28 |
| 1 11 1 | 1.999 | 45.37 | 63 |

Record 4
YTl2Zn3F12: theoretical powder XRD pattern (Cu Kα), based on a structure optimized by DFT (GGA-PBE).

Atomic structure:
Cell: 7.5720 7.5720 15.5891 Å, 90.00 90.00 120.00°
Space group R-3m (No. 166, hexagonal axes)
Asymmetric unit:
Y1 0.0000 0.0000 0.0000 x3
Tl1 0.0000 0.0000 0.3924 x6
Zn1 0.0000 0.5000 0.5000 x9
F1 0.0475 0.5237 0.3715 x18
F2 0.0973 0.5486 0.7938 x18

Largest 10 diffraction maxima, low angle first, 2θ from 15° to 90°:
| index | d_spacing | 2θ/deg | I/Imax |
| --- | --- | --- | --- |
| 1 1 0 | 3.786 | 23.50 | 91 |
| 1 0 4 | 3.350 | 26.61 | 63 |
| 0 2 1 | 3.209 | 27.80 | 100 |
| 1 1 3 | 3.060 | 29.18 | 78 |
| 2 0 2 | 3.022 | 29.56 | 36 |
| 0 1 5 | 2.816 | 31.78 | 62 |
| 1 2 5 | 1.940 | 46.82 | 63 |
| 2 2 0 | 1.893 | 48.06 | 62 |
| 2 0 8 | 1.675 | 54.82 | 32 |
| 3 1 5 | 1.571 | 58.78 | 35 |

Question: Which formula does entry 1 have?
Answer: Tl3Ir